No. 1
This entry pairs a crystal structure of YFe6Co5W with its computed powder diffractogram. Radiation: Cu Kα, 1.54184 Å. Structure: the GGA-PBE geometry in the Materials Project.

Most intense lines, 15 to 90 degrees two-theta, in order of rising 2θ:
2theta, I_rel
21.62, 24
37.24, 63
42.88, 50
43.17, 100
44.07, 72
48.22, 30
48.50, 46
49.32, 39

Structural model:
```
YFe6Co5W
1.0
-2.353 4.215 4.223
2.353 -4.215 4.223
2.353 4.215 -4.223
Y Fe Co W
1 6 5 1
Cartesian
0.000 0.000 0.000
1.171 2.098 -2.099
1.182 -2.118 2.124
2.353 0.000 1.945
1.171 6.333 -2.099
1.182 2.118 2.124
0.000 4.215 2.311
2.353 1.881 0.041
0.000 3.035 0.030
0.000 5.396 0.030
0.000 0.000 5.521
0.000 2.334 4.264
0.000 0.000 3.163
```


No. 2
This entry pairs a crystal structure of YFeCo with its computed powder diffractogram. Radiation: Cu Kα, 1.54184 Å. Structure: the GGA-PBE geometry in the Materials Project.

Most intense lines, 15 to 90 degrees two-theta, in order of rising 2θ:
2theta, I_rel
35.08, 79
40.66, 100
41.32, 91
41.58, 44
41.80, 47
42.73, 40
43.57, 37
74.13, 43

Structural model:
```
YFeCo
1.0
5.102 0.000 0.000
0.000 5.249 0.000
0.000 0.000 7.157
Y Fe Co
4 4 4
Cartesian
0.000 1.312 0.899
0.000 3.937 6.258
2.551 1.312 2.679
2.551 3.937 4.478
1.276 1.312 5.368
1.276 3.937 1.789
3.827 1.312 5.368
3.827 3.937 1.789
0.000 0.000 3.578
0.000 2.624 3.578
2.551 0.000 0.000
2.551 2.624 0.000
```


No. 3
This entry pairs a crystal structure of Zr4FeCo with its computed powder diffractogram. Radiation: Cu Kα, 1.54184 Å. Structure: the GGA-PBE geometry in the Materials Project.

Most intense lines, 15 to 90 degrees two-theta, in order of rising 2θ:
2theta, I_rel
35.65, 100
37.67, 23
40.58, 17
43.00, 51
45.62, 28
58.95, 22
63.13, 27
71.91, 19

Structural model:
```
Zr4FeCo
1.0
6.289 0.000 0.000
0.000 6.289 0.000
0.000 0.000 5.660
Zr Fe Co
8 2 2
Cartesian
1.117 2.027 1.415
1.117 4.261 4.245
2.027 1.117 4.245
2.027 5.172 1.415
4.261 1.117 1.415
4.261 5.172 4.245
5.172 2.027 4.245
5.172 4.261 1.415
0.000 0.000 0.000
3.144 3.144 2.830
0.000 0.000 2.830
3.144 3.144 0.000
```


No. 4
This entry pairs a crystal structure of GaCo with its computed powder diffractogram. Radiation: Cu Kα, 1.54184 Å. Structure: the GGA-PBE geometry in the Materials Project.

Most intense lines, 15 to 90 degrees two-theta, in order of rising 2θ:
2theta, I_rel
30.97, 1
44.37, 100
64.56, 15
81.69, 30

Structural model:
```
GaCo
1.0
2.887 0.000 0.000
0.000 2.887 0.000
0.000 0.000 2.887
Ga Co
1 1
Cartesian
0.000 0.000 0.000
1.444 1.444 1.444
```